1.
Computed PXRD pattern of La3Sm8Th for CuKα, from the GGA-PBE geometry in Alexandria.
Kinematic intensities with the Lorentz-polarization factor, no thermal factor.

Cell and atoms:
Cell lengths 8.9976, 8.9976, 6.5619 Å; angles 110.82, 110.82, 59.41 degrees
Positions (direct):
La 0.0000 0.0000 0.0000
La 0.0798 0.1773 0.6288
La 0.8227 0.9202 0.3712
Sm 0.1516 0.5117 0.1056
Sm 0.2514 0.6093 0.6911
Sm 0.3332 0.1714 0.3401
Sm 0.3907 0.7486 0.3089
Sm 0.4883 0.8484 0.8944
Sm 0.5419 0.2073 0.8908
Sm 0.7927 0.4581 0.1092
Sm 0.8286 0.6668 0.6599
Th 0.6210 0.3790 0.5000

Main lines, sorted by position (10 to 90 degrees two-theta):
two_theta  I_rel
29.6  54
29.8  24
30.1  68
30.4  70
30.6  21
30.7  100
33.9  45
59.3  21



2.
Computed PXRD pattern of La3Sm3Th for CuKα, from the GGA-PBE geometry in Alexandria.
Kinematic intensities with the Lorentz-polarization factor, no thermal factor.

Cell and atoms:
Cell lengths 11.5160, 3.6314, 11.9781 Å; angles 90.00, 90.75, 90.00 degrees
Positions (direct):
La 0.0113 0.2500 0.3654
La 0.0543 0.2500 0.8938
La 0.4459 0.2500 0.8870
La 0.5541 0.7500 0.1130
La 0.9457 0.7500 0.1062
La 0.9887 0.7500 0.6346
Sm 0.2493 0.2500 0.6833
Sm 0.2573 0.2500 0.1582
Sm 0.2597 0.7500 0.4307
Sm 0.7403 0.2500 0.5693
Sm 0.7427 0.7500 0.8418
Sm 0.7507 0.7500 0.3167
Th 0.4971 0.7500 0.6285
Th 0.5029 0.2500 0.3715

Main lines, sorted by position (10 to 90 degrees two-theta):
two_theta  I_rel
26.8  20
29.8  54
31.1  46
32.1  23
32.7  100
32.9  90
50.3  26
60.2  20



3.
Computed PXRD pattern of La3Sm3Th2 for CuKα, from the GGA-PBE geometry in Alexandria.
Kinematic intensities with the Lorentz-polarization factor, no thermal factor.

Cell and atoms:
Cell lengths 6.3172, 6.3338, 8.1548 Å; angles 104.68, 104.75, 110.17 degrees
Positions (direct):
La 0.0000 0.0000 0.0000
La 0.1330 0.6330 0.2666
La 0.8670 0.3670 0.7334
Sm 0.3713 0.8707 0.7414
Sm 0.5000 0.5000 0.0000
Sm 0.6287 0.1293 0.2586
Th 0.2513 0.2511 0.5025
Th 0.7487 0.7489 0.4975

Main lines, sorted by position (10 to 90 degrees two-theta):
two_theta  I_rel
29.9  100
30.1  100
34.6  35
34.9  67
49.9  36
59.1  22
59.3  14
59.4  21



4.
Computed PXRD pattern of La3Sm4Th2 for CuKα, from the GGA-PBE geometry in Alexandria.
Kinematic intensities with the Lorentz-polarization factor, no thermal factor.

Cell and atoms:
Cell lengths 7.1828, 8.6607, 10.5506 Å; angles 98.84, 99.64, 102.11 degrees
Positions (direct):
La 0.0349 0.1709 0.4521
La 0.2555 0.5032 0.9914
La 0.3650 0.1715 0.7742
La 0.6350 0.8285 0.2258
La 0.7445 0.4968 0.0086
La 0.9651 0.8291 0.5479
Sm 0.0640 0.8424 0.8935
Sm 0.1447 0.8312 0.2350
Sm 0.3320 0.4775 0.3362
Sm 0.4703 0.8348 0.5593
Sm 0.5297 0.1652 0.4407
Sm 0.6680 0.5225 0.6638
Sm 0.8553 0.1688 0.7650
Sm 0.9360 0.1576 0.1065
Th 0.1696 0.5284 0.6590
Th 0.4460 0.1594 0.1100
Th 0.5540 0.8406 0.8900
Th 0.8304 0.4716 0.3410

Main lines, sorted by position (10 to 90 degrees two-theta):
two_theta  I_rel
29.5  69
30.3  100
30.4  95
30.5  91
32.3  78
33.0  78
50.8  24
60.4  28



5.
Computed PXRD pattern of La8SmTh3 for CuKα, from the GGA-PBE geometry in Alexandria.
Kinematic intensities with the Lorentz-polarization factor, no thermal factor.

Cell and atoms:
Cell lengths 6.3950, 6.3950, 11.9903 Å; angles 90.00, 90.00, 120.00 degrees
Positions (direct):
La 0.0000 0.3326 0.2402
La 0.0000 0.6674 0.7598
La 0.3326 0.0000 0.2402
La 0.3326 0.3326 0.7598
La 0.3333 0.6667 0.5000
La 0.6674 0.0000 0.7598
La 0.6667 0.3333 0.5000
La 0.6674 0.6674 0.2402
Sm 0.0000 0.0000 0.5000
Th 0.0000 0.0000 0.0000
Th 0.3333 0.6667 0.0000
Th 0.6667 0.3333 0.0000

Main lines, sorted by position (10 to 90 degrees two-theta):
two_theta  I_rel
28.9  31
29.8  31
31.7  100
36.0  19
49.4  24
54.1  22
58.7  28
59.9  17



6.
Computed PXRD pattern of La5Sm2Th2 for CuKα, from the GGA-PBE geometry in Alexandria.
Kinematic intensities with the Lorentz-polarization factor, no thermal factor.

Cell and atoms:
Cell lengths 6.3428, 6.3646, 8.1809 Å; angles 82.99, 74.94, 80.14 degrees
Positions (direct):
La 0.0000 0.0000 0.0000
La 0.1161 0.2255 0.5486
La 0.4517 0.8827 0.2355
La 0.5483 0.1173 0.7645
La 0.8839 0.7745 0.4514
Sm 0.2212 0.4449 0.1092
Sm 0.7788 0.5551 0.8908
Th 0.3376 0.6600 0.6655
Th 0.6624 0.3400 0.3345

Main lines, sorted by position (10 to 90 degrees two-theta):
two_theta  I_rel
29.8  100
29.9  33
34.4  23
34.7  22
34.7  22
49.7  24
49.8  16
58.8  15



7.
Computed PXRD pattern of La3Sm3Th4 for CuKα, from the GGA-PBE geometry in Alexandria.
Kinematic intensities with the Lorentz-polarization factor, no thermal factor.

Cell and atoms:
Cell lengths 4.0546, 9.3469, 9.3469 Å; angles 90.24, 90.00, 90.00 degrees
Positions (direct):
La 0.0000 0.0000 0.0000
La 0.5000 0.1651 0.6600
La 0.5000 0.6600 0.1651
Sm 0.0000 0.3257 0.3257
Sm 0.0000 0.5008 0.8259
Sm 0.0000 0.8259 0.5008
Th 0.5000 0.0312 0.2946
Th 0.5000 0.2946 0.0312
Th 0.5000 0.5323 0.5323
Th 0.5000 0.7945 0.7945

Main lines, sorted by position (10 to 90 degrees two-theta):
two_theta  I_rel
13.4  12
29.2  11
30.2  48
30.7  100
44.7  13
54.9  23
57.7  13
57.9  11



8.
Computed PXRD pattern of LaSmTm2Th for CuKα, from the GGA-PBE geometry in Alexandria.
Kinematic intensities with the Lorentz-polarization factor, no thermal factor.

Cell and atoms:
Cell lengths 3.5264, 5.6619, 8.7172 Å; angles 90.00, 90.00, 90.00 degrees
Positions (direct):
La 0.0000 0.0000 0.0000
Sm 0.5000 0.0000 0.5000
Tm 0.0000 0.5000 0.3208
Tm 0.0000 0.5000 0.6792
Th 0.5000 0.5000 0.0000

Main lines, sorted by position (10 to 90 degrees two-theta):
two_theta  I_rel
15.7  16
30.8  13
31.6  100
32.7  15
34.7  20
36.4  20
56.3  15
61.5  19



9.
Computed PXRD pattern of LaSm2TmTh for CuKα, from the GGA-PBE geometry in Alexandria.
Kinematic intensities with the Lorentz-polarization factor, no thermal factor.

Cell and atoms:
Cell lengths 8.6713, 6.4315, 6.4012 Å; angles 90.00, 98.60, 90.00 degrees
Positions (direct):
La 0.0000 0.0000 0.0000
La 0.0000 0.0000 0.5000
Sm 0.3164 0.3142 0.2030
Sm 0.3164 0.6858 0.7030
Sm 0.6836 0.3142 0.2970
Sm 0.6836 0.6858 0.7970
Tm 0.5000 0.1709 0.7500
Tm 0.5000 0.8291 0.2500
Th 0.0000 0.4543 0.7500
Th 0.0000 0.5457 0.2500

Main lines, sorted by position (10 to 90 degrees two-theta):
two_theta  I_rel
20.7  51
27.1  54
28.2  57
29.7  100
30.3  76
32.2  52
34.6  55
41.7  47



10.
Computed PXRD pattern of LaSm5Tm2Th for CuKα, from the GGA-PBE geometry in Alexandria.
Kinematic intensities with the Lorentz-polarization factor, no thermal factor.

Cell and atoms:
Cell lengths 10.4775, 10.4775, 10.5663 Å; angles 90.00, 90.00, 148.53 degrees
Positions (direct):
La 0.0855 0.9145 0.5000
La 0.9145 0.0855 0.0000
Sm 0.0226 0.9774 0.7936
Sm 0.1141 0.8859 0.0823
Sm 0.2071 0.7929 0.7601
Sm 0.2226 0.7774 0.3718
Sm 0.4845 0.5155 0.0794
Sm 0.5155 0.4845 0.5794
Sm 0.7774 0.2226 0.8718
Sm 0.7929 0.2071 0.2601
Sm 0.8859 0.1141 0.5823
Sm 0.9774 0.0226 0.2936
Tm 0.3853 0.6147 0.3729
Tm 0.3875 0.6125 0.7909
Tm 0.6125 0.3875 0.2909
Tm 0.6147 0.3853 0.8729
Th 0.3007 0.6993 0.0698
Th 0.6993 0.3007 0.5698

Main lines, sorted by position (10 to 90 degrees two-theta):
two_theta  I_rel
27.9  22
30.2  48
31.5  45
32.1  100
42.5  14
56.4  22
59.1  15
61.2  14



11.
Computed PXRD pattern of LaSmYTh2 for CuKα, from the GGA-PBE geometry in Alexandria.
Kinematic intensities with the Lorentz-polarization factor, no thermal factor.

Cell and atoms:
Cell lengths 8.6188, 8.6188, 6.7533 Å; angles 90.00, 90.00, 133.92 degrees
Positions (direct):
La 0.2468 0.7532 0.7500
La 0.7532 0.2468 0.2500
Sm 0.3498 0.6502 0.2500
Sm 0.6502 0.3498 0.7500
Y 0.1509 0.8491 0.2500
Y 0.8491 0.1509 0.7500
Th 0.2491 0.2491 0.0000
Th 0.2491 0.2491 0.5000
Th 0.7509 0.7509 0.0000
Th 0.7509 0.7509 0.5000

Main lines, sorted by position (10 to 90 degrees two-theta):
two_theta  I_rel
11.2  26
22.4  16
28.7  100
33.9  31
34.9  35
37.7  38
51.6  25
62.7  23



12.
Computed PXRD pattern of LaSm5Tl2 for CuKα, from the GGA-PBE geometry in Alexandria.
Kinematic intensities with the Lorentz-polarization factor, no thermal factor.

Cell and atoms:
Cell lengths 5.5772, 5.5772, 20.3430 Å; angles 90.00, 90.00, 120.00 degrees
Positions (direct):
La 0.3333 0.6667 0.2500
La 0.6667 0.3333 0.7500
Sm 0.0000 0.0000 0.1620
Sm 0.0000 0.0000 0.3380
Sm 0.0000 0.0000 0.6620
Sm 0.0000 0.0000 0.8380
Sm 0.3333 0.6667 0.5671
Sm 0.3333 0.6667 0.7500
Sm 0.3333 0.6667 0.9329
Sm 0.6667 0.3333 0.0671
Sm 0.6667 0.3333 0.2500
Sm 0.6667 0.3333 0.4329
Tl 0.3333 0.6667 0.0890
Tl 0.3333 0.6667 0.4110
Tl 0.6667 0.3333 0.5890
Tl 0.6667 0.3333 0.9110

Main lines, sorted by position (10 to 90 degrees two-theta):
two_theta  I_rel
26.3  13
32.1  100
32.3  68
41.9  23
46.1  25
57.2  19
57.3  27
64.3  18



13.
Computed PXRD pattern of La3SmTl3 for CuKα, from the GGA-PBE geometry in Alexandria.
Kinematic intensities with the Lorentz-polarization factor, no thermal factor.

Cell and atoms:
Cell lengths 9.7411, 9.7411, 9.7411 Å; angles 90.00, 90.00, 90.00 degrees
Positions (direct):
La 0.0710 0.4290 0.5710
La 0.1725 0.8275 0.3275
La 0.1747 0.1747 0.1747
La 0.3253 0.8253 0.6747
La 0.3275 0.1725 0.8275
La 0.4290 0.5710 0.0710
La 0.5710 0.0710 0.4290
La 0.6725 0.6725 0.6725
La 0.6747 0.3253 0.8253
La 0.8253 0.6747 0.3253
La 0.8275 0.3275 0.1725
La 0.9290 0.9290 0.9290
Sm 0.0751 0.5751 0.9249
Sm 0.4249 0.4249 0.4249
Sm 0.5751 0.9249 0.0751
Sm 0.9249 0.0751 0.5751
Tl 0.0015 0.2550 0.8697
Tl 0.1303 0.5015 0.2450
Tl 0.2450 0.1303 0.5015
Tl 0.2550 0.8697 0.0015
Tl 0.3697 0.4985 0.7450
Tl 0.4985 0.7450 0.3697
Tl 0.5015 0.2450 0.1303
Tl 0.6303 0.9985 0.7550
Tl 0.7450 0.3697 0.4985
Tl 0.7550 0.6303 0.9985
Tl 0.8697 0.0015 0.2550
Tl 0.9985 0.7550 0.6303

Main lines, sorted by position (10 to 90 degrees two-theta):
two_theta  I_rel
29.0  100
34.4  69
41.5  20
43.6  14
47.6  18
58.4  31
61.7  16
71.1  19